1.
This entry pairs a crystal structure of Rb2OsCl5O with its theoretical powder XRD pattern. Radiation: Cu Kα (λ = 1.5418 Å). Structure: a structure optimized by DFT (GGA-PBE).
Lines closer than 0.1° are merged.

Structural model:
```
data_Rb2OsCl5O
_cell_length_a 7.075
_cell_length_b 7.075
_cell_length_c 7.075
_cell_angle_alpha 117.75
_cell_angle_beta 117.75
_cell_angle_gamma 93.95
_symmetry_space_group_name_H-M 'P 1'
_symmetry_Int_Tables_number 1
_symmetry_space_group_name_Hall 'P 1'
loop_
_atom_site_label
_atom_site_type_symbol
_atom_site_fract_x
_atom_site_fract_y
_atom_site_fract_z
Rb1 Rb 0.000 0.500 0.500
Rb2 Rb 0.500 0.000 0.500
Os1 Os 0.263 0.263 0.000
Cl1 Cl 0.013 0.013 0.000
Cl2 Cl 0.020 0.020 0.540
Cl3 Cl 0.020 0.480 0.000
Cl4 Cl 0.480 0.020 0.000
Cl5 Cl 0.480 0.480 0.460
O1 O 0.444 0.444 0.000
```

Top 6 peaks for 2θ from 15° to 90°, in order of falling intensity:
2theta	I_rel
15.2	100
25.2	65
34.7	44
28.8	30
43.4	30
24.3	26

2.
This entry pairs a crystal structure of SbTe3 with its theoretical powder XRD pattern. Radiation: Cu Kα (λ = 1.5418 Å). Structure: a structure optimized by DFT (GGA-PBE).
Lines closer than 0.1° are merged.

Structural model:
```
data_SbTe3
_cell_length_a 5.525
_cell_length_b 5.525
_cell_length_c 5.525
_cell_angle_alpha 109.71
_cell_angle_beta 109.71
_cell_angle_gamma 109.71
_symmetry_space_group_name_H-M 'P 1'
_symmetry_Int_Tables_number 1
_symmetry_space_group_name_Hall 'P 1'
loop_
_atom_site_label
_atom_site_type_symbol
_atom_site_fract_x
_atom_site_fract_y
_atom_site_fract_z
Sb1 Sb 0.000 0.000 0.000
Te1 Te 0.000 0.500 0.500
Te2 Te 0.500 0.000 0.500
Te3 Te 0.500 0.500 0.000
```

Top 6 peaks for 2θ from 15° to 90°, in order of falling intensity:
2theta	I_rel
28.1	100
39.9	39
40.3	38
49.5	21
65.4	18
65.9	17